Diffraction record for GaHPt3. The powder diffraction line list is calculated, not measured: it uses the PBE geometry in OQMD and a wavelength of 1.5418 Å.
Peak positions follow from Bragg's law for the DFT cell and can differ from measured ones.

Principal peaks in the range 2θ = 10–90°, sorted by position:
d/Å  I (rel.)
2.854  14
2.521  20
2.321  100
2.146  26
2.044  23
1.993  25
1.588  10
1.427  17
1.297  13
1.227  13

Structural model:
abc: 5.6381 5.6381 4.0873
angles: 90.00 90.00 90.00
Space group P4/mbm (No. 127)
Inequivalent atoms, fractional coordinates:
Ga1 0.0000 0.5000 0.0000 [2 per cell]
H1 0.0000 0.0000 0.5000 [2 per cell]
Pt1 0.0000 0.0000 0.0000 [2 per cell]
Pt2 0.1965 0.3035 0.5000 [4 per cell]